(1)
For Nd6Fe13Sn, a cell relaxed with PBE gives the calculated powder XRD pattern in this record (Cu Kα X-rays).

Top 10 peaks for 2θ from 10° to 80°, sorted by position:
27.25°, intensity 89
31.29°, intensity 85
31.42°, intensity 35
31.88°, intensity 43
34.35°, intensity 38
35.24°, intensity 100
37.91°, intensity 70
42.78°, intensity 55
46.66°, intensity 44
57.84°, intensity 35

Crystal structure
```
Nd6Fe13Sn
1.0
-4.0267 4.0267 11.7493
4.0267 -4.0267 11.7493
4.0267 4.0267 -11.7493
Nd Fe Sn
12 26 2
Direct
0.0204 0.5204 0.1716 Nd
0.1044 0.1044 0.0000 Nd
0.1513 0.9796 0.5000 Nd
0.3487 0.8487 0.8284 Nd
0.3956 0.3956 0.0000 Nd
0.4796 0.6513 0.5000 Nd
0.5204 0.3487 0.5000 Nd
0.6044 0.6044 0.0000 Nd
0.6513 0.1513 0.1716 Nd
0.8487 0.0204 0.5000 Nd
0.8956 0.8956 0.0000 Nd
0.9796 0.4796 0.8284 Nd
0.0000 0.5000 0.5000 Fe
0.0202 0.2936 0.5000 Fe
0.0663 0.2095 0.2759 Fe
0.1206 0.6206 0.8580 Fe
0.2064 0.4798 0.5000 Fe
0.2095 0.9337 0.1432 Fe
0.2374 0.7374 0.8580 Fe
0.2626 0.1206 0.5000 Fe
0.2905 0.4337 0.7241 Fe
0.2936 0.7936 0.2734 Fe
0.3794 0.2374 0.5000 Fe
0.4337 0.7095 0.1432 Fe
0.4798 0.9798 0.2734 Fe
0.5000 0.0000 0.5000 Fe
0.5202 0.0202 0.7266 Fe
0.5663 0.2905 0.8568 Fe
0.6206 0.7626 0.5000 Fe
0.7064 0.2064 0.7266 Fe
0.7095 0.5663 0.2759 Fe
0.7374 0.8794 0.5000 Fe
0.7626 0.2626 0.1420 Fe
0.7905 0.0663 0.8568 Fe
0.7936 0.5202 0.5000 Fe
0.8794 0.3794 0.1420 Fe
0.9337 0.7905 0.7241 Fe
0.9798 0.7064 0.5000 Fe
0.2500 0.2500 0.0000 Sn
0.7500 0.7500 0.0000 Sn
```


(2)
For TbNdFe17, a cell relaxed with PBE gives the calculated powder XRD pattern in this record (Cu Kα X-rays).

Top 10 peaks for 2θ from 10° to 80°, sorted by position:
30.07°, intensity 39
36.53°, intensity 41
37.83°, intensity 26
42.43°, intensity 62
42.74°, intensity 100
43.63°, intensity 49
48.01°, intensity 20
62.49°, intensity 26
70.03°, intensity 17
79.53°, intensity 18

Crystal structure
```
TbNdFe17
1.0
4.2607 2.4599 4.1474
-4.2607 2.4599 4.1474
0.0000 -4.9199 4.1474
Tb Nd Fe
1 1 17
Direct
0.0000 0.0000 0.0000 Tb
0.3193 0.3193 0.3193 Nd
0.0026 0.0026 0.5056 Fe
0.0026 0.5056 0.0026 Fe
0.1600 0.6611 0.6611 Fe
0.3173 0.3173 0.8164 Fe
0.3173 0.8164 0.3173 Fe
0.3680 0.6615 0.9523 Fe
0.3680 0.9523 0.6615 Fe
0.5056 0.0026 0.0026 Fe
0.5646 0.5646 0.5646 Fe
0.6611 0.1600 0.6611 Fe
0.6615 0.3680 0.9523 Fe
0.6611 0.6611 0.1600 Fe
0.6615 0.9523 0.3680 Fe
0.7575 0.7575 0.7575 Fe
0.8164 0.3173 0.3173 Fe
0.9523 0.3680 0.6615 Fe
0.9523 0.6615 0.3680 Fe
```


(3)
For TbNdFe, a cell relaxed with PBE gives the calculated powder XRD pattern in this record (Cu Kα X-rays).

Top 10 peaks for 2θ from 10° to 80°, sorted by position:
28.19°, intensity 91
29.45°, intensity 73
31.86°, intensity 100
35.24°, intensity 65
38.33°, intensity 33
39.33°, intensity 31
41.17°, intensity 33
53.75°, intensity 29
54.57°, intensity 27
76.45°, intensity 26

Crystal structure
```
TbNdFe
1.0
3.5009 -6.0731 0.0000
3.5009 6.0731 0.0000
0.0000 0.0000 7.4190
Tb Nd Fe
4 4 4
Direct
0.2083 0.2917 0.2500 Tb
0.2917 0.2083 0.7500 Tb
0.7083 0.7917 0.2500 Tb
0.7917 0.7083 0.7500 Tb
0.1980 0.8020 0.3879 Nd
0.3020 0.6980 0.8879 Nd
0.6980 0.3020 0.1121 Nd
0.8020 0.1980 0.6121 Nd
0.0901 0.9099 0.0423 Fe
0.4099 0.5901 0.5423 Fe
0.5901 0.4099 0.4577 Fe
0.9099 0.0901 0.9577 Fe
```


(4)
For Nd6Tl2Fe, a cell relaxed with PBE gives the calculated powder XRD pattern in this record (Cu Kα X-rays).

Top 10 peaks for 2θ from 10° to 80°, sorted by position:
29.90°, intensity 32
30.05°, intensity 100
34.67°, intensity 55
35.03°, intensity 25
49.77°, intensity 8
49.97°, intensity 28
50.22°, intensity 17
59.13°, intensity 8
59.34°, intensity 27
62.46°, intensity 13

Crystal structure
```
Nd6Tl2Fe
1.0
7.3289 0.0000 0.0000
0.0000 7.3063 0.0000
-7.2694 0.0000 10.2474
Nd Tl Fe
12 4 2
Direct
0.2098 0.0001 0.2522 Nd
0.2098 0.4999 0.7522 Nd
0.2713 0.2476 0.5210 Nd
0.2713 0.2524 0.0210 Nd
0.2730 0.7492 0.0209 Nd
0.2730 0.7508 0.5209 Nd
0.7270 0.2492 0.4791 Nd
0.7270 0.2508 0.9791 Nd
0.7287 0.7476 0.9790 Nd
0.7287 0.7524 0.4790 Nd
0.7902 0.9999 0.7478 Nd
0.7902 0.5001 0.2478 Nd
0.2535 0.5008 0.2521 Tl
0.2535 0.9992 0.7521 Tl
0.7465 0.0008 0.2479 Tl
0.7465 0.4992 0.7479 Tl
0.0000 0.0000 0.0000 Fe
0.0000 0.5000 0.5000 Fe
```


(5)
For NdFe10W2, a cell relaxed with PBE gives the calculated powder XRD pattern in this record (Cu Kα X-rays).

Top 10 peaks for 2θ from 10° to 80°, sorted by position:
21.51°, intensity 71
32.52°, intensity 38
36.34°, intensity 55
36.67°, intensity 59
38.25°, intensity 35
41.96°, intensity 49
42.15°, intensity 100
43.85°, intensity 63
47.13°, intensity 36
48.81°, intensity 30

Crystal structure
```
NdFe10W2
1.0
-2.3527 4.3058 4.3589
2.3527 -4.3058 4.3589
2.3527 4.3058 -4.3589
Nd Fe W
1 10 2
Direct
0.0000 0.0000 0.0000 Nd
0.0000 0.0000 0.5000 Fe
0.0000 0.5000 0.0000 Fe
0.2258 0.5000 0.7258 Fe
0.2300 0.7300 0.5000 Fe
0.3595 0.0000 0.3595 Fe
0.5000 0.0000 0.0000 Fe
0.5000 0.5000 0.5000 Fe
0.6405 0.0000 0.6405 Fe
0.7700 0.2700 0.5000 Fe
0.7742 0.5000 0.2742 Fe
0.3560 0.3560 0.0000 W
0.6440 0.6440 0.0000 W
```


(6)
For NdZrFe, a cell relaxed with PBE gives the calculated powder XRD pattern in this record (Cu Kα X-rays).

Top 10 peaks for 2θ from 10° to 80°, sorted by position:
28.41°, intensity 49
30.68°, intensity 91
31.30°, intensity 100
31.57°, intensity 79
34.26°, intensity 43
37.26°, intensity 31
39.58°, intensity 72
39.88°, intensity 91
52.95°, intensity 38
58.73°, intensity 30

Crystal structure
```
NdZrFe
1.0
3.1804 -6.5099 0.0000
3.1804 6.5099 0.0000
0.0000 0.0000 6.5261
Nd Zr Fe
4 4 4
Direct
0.1944 0.8056 0.8980 Nd
0.3056 0.6944 0.3980 Nd
0.6944 0.3056 0.6020 Nd
0.8056 0.1944 0.1020 Nd
0.2253 0.2747 0.7500 Zr
0.2747 0.2253 0.2500 Zr
0.7253 0.7747 0.7500 Zr
0.7747 0.7253 0.2500 Zr
0.1023 0.8977 0.5315 Fe
0.3977 0.6023 0.0315 Fe
0.6023 0.3977 0.9685 Fe
0.8977 0.1023 0.4685 Fe
```